# BaLaCl5
Calculated powder diffraction line list, Cu Ka. Input: a DFT-relaxed cell (GGA-PBE, the Materials Project).
Neutral-atom scattering factors, no anomalous dispersion.

Principal peaks in the range 2θ from 10° to 90°, most intense first:
hkl	d (Å)	I_rel
1 2 0	5.082	100
0 1 2	4.749	64
0 2 2	4.101	41
2 3 0	2.891	40
1 1 0	6.508	34
1 0 -4	2.685	28
1 4 2	2.527	25
2 4 -2	2.520	23
3 2 -2	2.412	21
0 2 4	2.378	16
2 2 2	2.424	15
2 2 -4	2.370	14

Structure:
```
data_BaLaCl5
_chemical_formula_sum 'Ba4 La4 Cl20'
_cell_length_a 7.797
_cell_length_b 14.093
_cell_length_c 10.741
_cell_angle_alpha 90.00
_cell_angle_beta 109.80
_cell_angle_gamma 90.00
_space_group_name_H-M_alt 'P 1 21/c 1'
_space_group_IT_number 14
loop_
_space_group_symop_operation_xyz
'x,y,z'
'-x,-y,-z'
'-x,y+1/2,-z+1/2'
'x,-y+1/2,z+1/2'
loop_
_atom_site_label
_atom_site_fract_x
_atom_site_fract_y
_atom_site_fract_z
_atom_site_occupancy
Ba1 0.031 0.021 0.257 1
La1 0.394 0.247 0.600 1
Cl1 0.104 0.113 0.553 1
Cl2 0.135 0.107 0.004 1
Cl3 0.320 0.633 0.360 1
Cl4 0.337 0.196 0.335 1
Cl5 0.375 0.598 0.808 1
```

# BaLaCl5
Calculated powder diffraction line list, Cu Ka. Input: a DFT-relaxed cell (GGA-PBE, the Materials Project).
Neutral-atom scattering factors, no anomalous dispersion.

Principal peaks in the range 2θ from 10° to 90°, most intense first:
hkl	d (Å)	I_rel
0 0 4	4.897	100
0 2 1	4.743	94
2 3 1	2.655	78
2 1 -2	4.044	74
2 2 5	2.511	63
2 3 -3	2.530	52
2 1 -6	2.692	50
0 2 3	3.916	42
2 1 -3	3.713	39
2 0 6	2.609	31
4 0 0	2.395	31
2 1 2	3.847	30

Structure:
```
data_BaLaCl5
_chemical_formula_sum 'Ba8 La8 Cl40'
_cell_length_a 9.621
_cell_length_b 9.776
_cell_length_c 19.652
_cell_angle_alpha 90.00
_cell_angle_beta 94.34
_cell_angle_gamma 90.00
_space_group_name_H-M_alt 'P 1 21/c 1'
_space_group_IT_number 14
loop_
_space_group_symop_operation_xyz
'x,y,z'
'-x,-y,-z'
'-x,y+1/2,-z+1/2'
'x,-y+1/2,z+1/2'
loop_
_atom_site_label
_atom_site_fract_x
_atom_site_fract_y
_atom_site_fract_z
_atom_site_occupancy
Ba1 0.000 0.156 0.138 1
Ba2 0.317 0.156 0.414 1
La1 0.180 0.680 0.122 1
La2 0.494 0.629 0.339 1
Cl1 0.022 0.522 0.897 1
Cl2 0.025 0.677 0.713 1
Cl3 0.033 0.666 0.526 1
Cl4 0.281 0.005 0.906 1
Cl5 0.291 0.161 0.247 1
Cl6 0.294 0.203 0.064 1
Cl7 0.312 0.533 0.230 1
Cl8 0.334 0.647 0.852 1
Cl9 0.366 0.573 0.035 1
Cl10 0.411 0.645 0.646 1
```

# BaLaCl5
Calculated powder diffraction line list, Cu Ka. Input: a DFT-relaxed cell (GGA-PBE, the Materials Project).
Neutral-atom scattering factors, no anomalous dispersion.

Principal peaks in the range 2θ from 10° to 90°, most intense first:
hkl	d (Å)	I_rel
2 2 0	4.154	100
0 2 2	4.304	61
0 4 0	3.944	56
1 4 -4	2.189	49
2 6 0	2.316	47
1 2 -2	4.242	45
1 0 -4	2.632	43
3 3 2	2.265	42
1 5 2	2.517	35
1 3 0	4.633	35
1 1 2	4.040	32
1 4 2	2.868	32

Structure:
```
data_BaLaCl5
_chemical_formula_sum 'Ba8 La8 Cl40'
_cell_length_a 10.024
_cell_length_b 15.774
_cell_length_c 10.538
_cell_angle_alpha 90.00
_cell_angle_beta 102.87
_cell_angle_gamma 90.00
_space_group_name_H-M_alt 'P 1 21/c 1'
_space_group_IT_number 14
loop_
_space_group_symop_operation_xyz
'x,y,z'
'-x,-y,-z'
'-x,y+1/2,-z+1/2'
'x,-y+1/2,z+1/2'
loop_
_atom_site_label
_atom_site_fract_x
_atom_site_fract_y
_atom_site_fract_z
_atom_site_occupancy
Ba1 0.215 0.017 0.325 1
Ba2 0.284 0.030 0.799 1
La1 0.062 0.743 0.538 1
La2 0.485 0.735 0.389 1
Cl1 0.022 0.077 0.896 1
Cl2 0.023 0.172 0.239 1
Cl3 0.029 0.092 0.565 1
Cl4 0.224 0.243 0.033 1
Cl5 0.231 0.679 0.804 1
Cl6 0.280 0.634 0.482 1
Cl7 0.304 0.647 0.145 1
Cl8 0.416 0.062 0.123 1
Cl9 0.423 0.211 0.834 1
Cl10 0.442 0.084 0.571 1
```

# BaLaCl5
Calculated powder diffraction line list, Cu Ka. Input: a DFT-relaxed cell (GGA-PBE, the Materials Project).
Neutral-atom scattering factors, no anomalous dispersion.

Principal peaks in the range 2θ from 10° to 90°, most intense first:
hkl	d (Å)	I_rel
1 1 2	3.925	100
3 2 1	2.521	79
1 2 2	2.864	56
2 1 1	4.068	42
4 0 1	2.699	35
2 1 0	4.431	34
0 4 0	1.814	26
1 0 2	4.666	26
0 2 4	2.095	25
2 3 1	2.168	24
1 2 3	2.430	24
2 3 0	2.221	21

Structure:
```
data_BaLaCl5
_chemical_formula_sum 'Ba4 La4 Cl20'
_cell_length_a 11.188
_cell_length_b 7.257
_cell_length_c 10.269
_cell_angle_alpha 90.00
_cell_angle_beta 90.00
_cell_angle_gamma 90.00
_space_group_name_H-M_alt 'P n m a'
_space_group_IT_number 62
loop_
_space_group_symop_operation_xyz
'x,y,z'
'-x,-y,-z'
'-x+1/2,-y,z+1/2'
'x+1/2,y,-z+1/2'
'x+1/2,-y+1/2,-z+1/2'
'-x+1/2,y+1/2,z+1/2'
'-x,y+1/2,-z'
'x,-y+1/2,z'
loop_
_atom_site_label
_atom_site_fract_x
_atom_site_fract_y
_atom_site_fract_z
_atom_site_occupancy
Ba1 0.170 0.250 0.122 1
La1 0.030 0.250 0.652 1
Cl1 0.063 0.518 0.839 1
Cl2 0.143 0.001 0.464 1
Cl3 0.204 0.750 0.190 1
```